The following is a simulated X-ray diffraction stick pattern of Rb3V2GaF9. It was derived from a cell relaxed with GGA+U, using λ = 1.5418 Å (Cu Kα).

Top 10 peaks for 5 to 70 degrees two-theta, by angle:
28.6°, I = 100, (0 1 2)
29.0°, I = 96, (1 1 0)
35.6°, I = 26, (0 2 1)
41.1°, I = 88, (2 0 2)
50.4°, I = 21, (1 0 4)
51.1°, I = 37, (1 2 2)
51.3°, I = 19, (3 0 0)
59.1°, I = 24, (0 2 4)
60.0°, I = 27, (2 2 0)
67.2°, I = 20, (2 1 4)

Structure:
```
data_Rb3V2GaF9
_chemical_formula_sum 'Rb3 V2 Ga1 F9'
_cell_length_a 6.1684
_cell_length_b 6.1684
_cell_length_c 7.7041
_cell_angle_alpha 90.00
_cell_angle_beta 90.00
_cell_angle_gamma 120.00
_symmetry_space_group_name_H-M 'P -3 m 1'
_symmetry_Int_Tables_number 164
_symmetry_space_group_name_Hall '-P 3 2"'
loop_
_atom_site_label
_atom_site_type_symbol
_atom_site_fract_x
_atom_site_fract_y
_atom_site_fract_z
Rb1 Rb 0.0000 0.0000 0.0000
Rb2 Rb 0.3333 0.6667 0.6507
V1 V 0.3333 0.6667 0.1472
Ga1 Ga 0.0000 0.0000 0.5000
F1 F 0.0000 0.5000 0.0000
F2 F 0.1806 0.3613 0.2989
```